This entry pairs a crystal structure of Pr4InIr with its computed XRD peak list. Radiation: Cu Kα, 1.54184 Å. Structure: a crystal structure in Alexandria, relaxed with PBE.
Intensities are scaled so that the largest is 100.

Cell and atoms:
Cell: 9.0169 13.8810 6.2070 Å, 90.00 108.69 90.00°
Space group C2/c (No. 15)
Symmetry-distinct sites (fractional):
Pr 0.1120 0.1757 0.0560 x8
Pr 0.2191 0.4242 0.3817 x8
In 0.0000 0.3783 0.7500 x4
Ir 0.0000 0.0018 0.7500 x4

Top 12 peaks for 10° ≤ 2θ ≤ 90°, low angle first:
2theta	d_spacing	Rel. int.	(hkl)
12.2	7.274	76	1 1 0
12.8	6.941	53	0 2 0
28.5	3.129	42	1 3 1
30.9	2.896	89	3 1 -1
32.3	2.773	100	2 2 1
33.6	2.670	48	2 2 -2
33.7	2.661	33	2 4 -1
34.0	2.640	66	1 5 0
34.8	2.577	70	1 3 -2
35.9	2.501	50	1 1 2
37.1	2.425	43	3 3 0
44.4	2.041	33	4 2 0



This entry pairs a crystal structure of PbI2 with its computed XRD peak list. Radiation: Cu Kα, 1.54184 Å. Structure: a crystal structure in Alexandria, relaxed with PBE.
Intensities are scaled so that the largest is 100.

Cell and atoms:
Cell: 4.6546 4.6546 22.4828 Å, 90.00 90.00 120.00°
Space group P3m1 (No. 156)
Symmetry-distinct sites (fractional):
Pb 0.0000 0.0000 0.0000 x1
Pb 0.0000 0.0000 0.3330 x1
Pb 0.3333 0.6667 0.6667 x1
I 0.0000 0.0000 0.5836 x1
I 0.3333 0.6667 0.2499 x1
I 0.3333 0.6667 0.9169 x1
I 0.6667 0.3333 0.0832 x1
I 0.6667 0.3333 0.4162 x1
I 0.6667 0.3333 0.7499 x1

Top 12 peaks for 10° ≤ 2θ ≤ 90°, low angle first:
2theta	d_spacing	Rel. int.	(hkl)
11.8	7.494	74	0 0 3
23.4	3.794	24	0 1 2
25.1	3.550	100	1 0 3
27.2	3.276	44	1 0 4
29.8	3.002	43	1 0 5
32.6	2.745	36	1 0 6
35.7	2.512	27	1 0 7
38.7	2.327	66	1 1 0
40.6	2.223	24	1 1 3
42.6	2.123	24	0 1 9
46.7	1.946	19	0 2 3
63.8	1.459	30	1 1 12